Entry 1:
Diffraction record for GeS6Cl2. The powder XRD pattern is computed, not measured: it uses the GGA-PBE geometry in Alexandria and Cu Ka.
No peak broadening, texture or thermal motion is included.

Structure:
```
data_GeS6Cl2
_symmetry_space_group_name_H-M 'P 1 c 1'
_symmetry_Int_Tables_number 7
_symmetry_space_group_name_Hall 'P -2yc'
_cell_length_a 7.824
_cell_length_b 7.041
_cell_length_c 11.289
_cell_angle_alpha 90.00
_cell_angle_beta 102.21
_cell_angle_gamma 90.00
loop_
_atom_site_label
_atom_site_type_symbol
_atom_site_fract_x
_atom_site_fract_y
_atom_site_fract_z
Ge1 Ge 0.000 0.198 0.000
S1 S 0.108 0.099 0.550
S2 S 0.249 0.133 0.417
S3 S 0.517 0.140 0.493
S4 S 0.597 0.399 0.440
S5 S 0.632 0.389 0.073
S6 S 0.894 0.363 0.144
Cl1 Cl 0.202 0.370 0.950
Cl2 Cl 0.799 0.176 0.836
```

Principal peaks in the range 10 to 90 degrees two-theta, sorted by position:
2theta	d (Å)	I_rel
11.57	7.647	19.7
14.93	5.936	20.5
16.07	5.517	100.0
17.12	5.180	17.3
17.84	4.971	47.8
19.95	4.450	37.9
21.78	4.081	28.3
26.57	3.355	16.4
27.66	3.225	13.5
28.39	3.144	31.8
31.14	2.872	21.4
35.53	2.527	20.1

=====

Entry 2:
Diffraction record for SrHg9Pb2. The powder XRD pattern is computed, not measured: it uses the GGA-PBE geometry in Alexandria and Cu Ka.
No peak broadening, texture or thermal motion is included.

Structure:
```
data_SrHg9Pb2
_symmetry_space_group_name_H-M 'P -1'
_symmetry_Int_Tables_number 2
_symmetry_space_group_name_Hall '-P 1'
_cell_length_a 6.253
_cell_length_b 6.844
_cell_length_c 8.175
_cell_angle_alpha 85.63
_cell_angle_beta 75.67
_cell_angle_gamma 80.50
loop_
_atom_site_label
_atom_site_type_symbol
_atom_site_fract_x
_atom_site_fract_y
_atom_site_fract_z
Sr1 Sr 0.000 0.000 0.000
Hg1 Hg 0.000 0.500 0.000
Hg2 Hg 0.165 0.093 0.343
Hg3 Hg 0.330 0.682 0.686
Hg4 Hg 0.351 0.183 0.647
Hg5 Hg 0.467 0.248 0.002
Pb1 Pb 0.169 0.605 0.331
```

Principal peaks in the range 10 to 90 degrees two-theta, sorted by position:
2theta	d (Å)	I_rel
32.23	2.778	100.0
32.38	2.765	97.2
32.92	2.721	92.6
33.40	2.683	88.2
33.98	2.638	83.7
34.46	2.602	80.2
45.59	1.990	37.6
47.86	1.900	30.1
49.63	1.837	28.2
56.19	1.637	19.2
57.81	1.595	34.6
59.14	1.562	18.0